Entry 1:
Theoretical powder diffraction line list of Cs2Rb3 for Cu Kα, 1.54184 Å, from a crystal structure in Alexandria, relaxed with PBE.

Cell and atoms:
```
data_Cs2Rb3
_chemical_formula_sum 'Cs12 Rb18'
_space_group_name_H-M_alt 'R -3 c'
_space_group_IT_number 167
_space_group_name_Hall '-R 3 2"c'
_cell_length_a 14.0072
_cell_length_b 14.0072
_cell_length_c 18.1798
_cell_angle_alpha 90.00
_cell_angle_beta 90.00
_cell_angle_gamma 120.00
loop_
_atom_site_label
_atom_site_type_symbol
_atom_site_fract_x
_atom_site_fract_y
_atom_site_fract_z
_atom_site_occupancy
Cs1 Cs 0.0000 0.0000 0.1239 1
Rb1 Rb 0.0000 0.3243 0.2500 1
```

Principal peaks in the range 5° ≤ 2θ ≤ 70°, by intensity:
| (hkl) | 2theta | I (rel.) |
| --- | --- | --- |
| 3 0 0 | 21.98 | 100.0 |
| 1 1 3 | 19.37 | 51.0 |
| 3 0 6 | 37.07 | 32.3 |
| 2 1 4 | 27.64 | 29.5 |
| 1 0 4 | 20.87 | 26.5 |
| 3 3 0 | 38.56 | 22.4 |
| 0 0 6 | 29.46 | 22.1 |
| 1 1 0 | 12.64 | 22.1 |



Entry 2:
Theoretical powder diffraction line list of Li2CdTeSe4 for Cu Kα, 1.54184 Å, from a crystal structure in Alexandria, relaxed with PBE.

Cell and atoms:
```
data_Li2CdTeSe4
_chemical_formula_sum 'Li8 Cd4 Te4 Se16'
_space_group_name_H-M_alt 'I m m a'
_space_group_IT_number 74
_space_group_name_Hall '-I 2b 2'
_cell_length_a 7.9598
_cell_length_b 8.0089
_cell_length_c 11.3752
_cell_angle_alpha 90.00
_cell_angle_beta 90.00
_cell_angle_gamma 90.00
loop_
_atom_site_label
_atom_site_type_symbol
_atom_site_fract_x
_atom_site_fract_y
_atom_site_fract_z
_atom_site_occupancy
Li1 Li 0.0000 0.0000 0.0000 1
Li2 Li 0.2500 0.2500 0.2500 1
Cd1 Cd 0.0000 0.0000 0.5000 1
Te1 Te 0.2500 0.2500 0.7500 1
Se1 Se 0.0000 0.0010 0.2402 1
Se2 Se 0.2492 0.2500 0.5019 1
```

Principal peaks in the range 5° ≤ 2θ ≤ 70°, by intensity:
| (hkl) | 2theta | I (rel.) |
| --- | --- | --- |
| 2 2 0 | 31.70 | 100.0 |
| 0 4 0 | 45.27 | 90.1 |
| 0 1 1 | 13.54 | 57.2 |
| 0 0 4 | 31.46 | 50.1 |
| 2 1 1 | 26.17 | 25.0 |
| 1 2 3 | 34.50 | 19.6 |
| 0 4 4 | 56.18 | 18.7 |
| 4 0 4 | 56.44 | 18.4 |



Entry 3:
Theoretical powder diffraction line list of Tb2Pr5Sm2 for Cu Kα, 1.54184 Å, from a crystal structure in Alexandria, relaxed with PBE.

Cell and atoms:
```
data_Tb2Pr5Sm2
_chemical_formula_sum 'Tb4 Pr10 Sm4'
_space_group_name_H-M_alt 'C 1 2/m 1'
_space_group_IT_number 12
_cell_length_a 11.6121
_cell_length_b 5.1806
_cell_length_c 10.9771
_cell_angle_alpha 90.00
_cell_angle_beta 108.63
_cell_angle_gamma 90.00
loop_
_space_group_symop_operation_xyz
'x,y,z'
'-x,-y,-z'
'-x,y,-z'
'x,-y,z'
'x+1/2,y+1/2,z'
'-x+1/2,-y+1/2,-z'
'-x+1/2,y+1/2,-z'
'x+1/2,-y+1/2,z'
loop_
_atom_site_label
_atom_site_type_symbol
_atom_site_fract_x
_atom_site_fract_y
_atom_site_fract_z
_atom_site_occupancy
Tb1 Tb 0.1669 0.0000 0.2233 1
Pr1 Pr 0.0000 0.5000 0.0000 1
Pr2 Pr 0.1656 0.0000 0.8882 1
Pr3 Pr 0.1672 0.0000 0.5551 1
Sm1 Sm 0.0007 0.5000 0.6673 1
```

Principal peaks in the range 5° ≤ 2θ ≤ 70°, by intensity:
| (hkl) | 2theta | I (rel.) |
| --- | --- | --- |
| 3 1 0 | 29.87 | 100.0 |
| 2 0 3 | 34.67 | 33.7 |
| 5 1 3 | 59.17 | 21.6 |
| 6 0 0 | 49.72 | 18.3 |
| 2 2 3 | 49.84 | 18.1 |
| 4 0 -3 | 34.54 | 17.0 |
| 7 1 -3 | 59.04 | 14.5 |
| 1 1 6 | 59.30 | 7.2 |



Entry 4:
Theoretical powder diffraction line list of Ba3B6H2O13 for Cu Kα, 1.54184 Å, from a crystal structure in Alexandria, relaxed with PBE.

Cell and atoms:
```
data_Ba3B6H2O13
_chemical_formula_sum 'Ba6 B12 H4 O26'
_space_group_name_H-M_alt 'P 1 c 1'
_space_group_IT_number 7
_cell_length_a 7.0289
_cell_length_b 7.1184
_cell_length_c 11.4825
_cell_angle_alpha 90.00
_cell_angle_beta 90.37
_cell_angle_gamma 90.00
loop_
_space_group_symop_operation_xyz
'x,y,z'
'x,-y,z+1/2'
loop_
_atom_site_label
_atom_site_type_symbol
_atom_site_fract_x
_atom_site_fract_y
_atom_site_fract_z
_atom_site_occupancy
Ba1 Ba 0.0000 0.1450 0.0000 1
Ba2 Ba 0.2986 0.2517 0.6754 1
Ba3 Ba 0.6210 0.2304 0.2888 1
B1 B 0.1688 0.2560 0.2911 1
B2 B 0.3113 0.4974 0.9311 1
B3 B 0.4936 0.1891 0.9703 1
B4 B 0.6520 0.4978 0.0289 1
B5 B 0.8038 0.2584 0.6628 1
B6 B 0.9777 0.3525 0.4723 1
H1 H 0.6221 0.0638 0.5821 1
H2 H 0.8602 0.3761 0.8216 1
O1 O 0.0191 0.2259 0.3691 1
O2 O 0.1394 0.4781 0.5000 1
O3 O 0.2080 0.1375 0.2029 1
O4 O 0.2839 0.4177 0.3109 1
O5 O 0.3466 0.2904 0.9137 1
O6 O 0.4748 0.4144 0.4869 1
O7 O 0.5040 0.0015 0.9614 1
O8 O 0.6284 0.2883 0.0368 1
O9 O 0.6701 0.0925 0.6637 1
O10 O 0.7013 0.4368 0.6464 1
O11 O 0.8075 0.4647 0.4440 1
O12 O 0.9033 0.2637 0.7782 1
O13 O 0.9450 0.2226 0.5701 1
```

Principal peaks in the range 5° ≤ 2θ ≤ 70°, by intensity:
| (hkl) | 2theta | I (rel.) |
| --- | --- | --- |
| 1 1 1 | 19.39 | 100.0 |
| 0 1 3 | 26.44 | 96.1 |
| 2 1 -1 | 29.35 | 79.9 |
| 1 0 -2 | 19.90 | 52.8 |
| 0 2 2 | 29.49 | 46.9 |
| 0 2 0 | 25.02 | 37.3 |
| 2 0 2 | 29.90 | 36.6 |
| 2 3 1 | 46.89 | 33.4 |



Entry 5:
Theoretical powder diffraction line list of BeFe2W2 for Cu Kα, 1.54184 Å, from a crystal structure in Alexandria, relaxed with PBE.

Cell and atoms:
```
data_BeFe2W2
_chemical_formula_sum 'Be2 Fe4 W4'
_space_group_name_H-M_alt 'P 4/m b m'
_space_group_IT_number 127
_space_group_name_Hall '-P 4 2ab'
_cell_length_a 6.8096
_cell_length_b 6.8096
_cell_length_c 2.8518
_cell_angle_alpha 90.00
_cell_angle_beta 90.00
_cell_angle_gamma 90.00
loop_
_atom_site_label
_atom_site_type_symbol
_atom_site_fract_x
_atom_site_fract_y
_atom_site_fract_z
_atom_site_occupancy
Be1 Be 0.0000 0.0000 0.0000 1
Fe1 Fe 0.1300 0.3700 0.0000 1
W1 W 0.1708 0.6708 0.5000 1
```

Principal peaks in the range 5° ≤ 2θ ≤ 70°, by intensity:
| (hkl) | 2theta | I (rel.) |
| --- | --- | --- |
| 2 1 1 | 43.47 | 100.0 |
| 2 1 0 | 29.33 | 37.5 |
| 1 1 0 | 18.43 | 31.3 |
| 2 0 0 | 26.17 | 30.4 |
| 3 1 0 | 41.96 | 25.7 |
| 4 1 1 | 65.29 | 22.2 |
| 2 0 1 | 41.30 | 18.0 |
| 3 3 0 | 57.41 | 15.9 |



Entry 6:
Theoretical powder diffraction line list of Na5Ge4 for Cu Kα, 1.54184 Å, from a crystal structure in Alexandria, relaxed with PBE.

Cell and atoms:
```
data_Na5Ge4
_chemical_formula_sum 'Na10 Ge8'
_space_group_name_H-M_alt 'C 1 2/m 1'
_space_group_IT_number 12
_cell_length_a 10.3107
_cell_length_b 4.8421
_cell_length_c 10.3019
_cell_angle_alpha 90.00
_cell_angle_beta 116.57
_cell_angle_gamma 90.00
loop_
_space_group_symop_operation_xyz
'x,y,z'
'-x,-y,-z'
'-x,y,-z'
'x,-y,z'
'x+1/2,y+1/2,z'
'-x+1/2,-y+1/2,-z'
'-x+1/2,y+1/2,-z'
'x+1/2,-y+1/2,z'
loop_
_atom_site_label
_atom_site_type_symbol
_atom_site_fract_x
_atom_site_fract_y
_atom_site_fract_z
_atom_site_occupancy
Na1 Na 0.0000 0.0000 0.0000 1
Na2 Na 0.1044 0.0000 0.4014 1
Na3 Na 0.2402 0.5000 0.1660 1
Ge1 Ge 0.0658 0.5000 0.8312 1
Ge2 Ge 0.1151 0.5000 0.6245 1
```

Principal peaks in the range 5° ≤ 2θ ≤ 70°, by intensity:
| (hkl) | 2theta | I (rel.) |
| --- | --- | --- |
| 1 1 0 | 20.72 | 100.0 |
| 3 1 -1 | 32.12 | 87.9 |
| 0 2 0 | 37.14 | 55.4 |
| 3 1 1 | 39.47 | 53.2 |
| 1 1 2 | 31.32 | 51.8 |
| 2 0 -1 | 17.23 | 43.5 |
| 3 1 -3 | 35.89 | 40.9 |
| 2 0 1 | 25.17 | 33.0 |



Entry 7:
Theoretical powder diffraction line list of In2CoMo for Cu Kα, 1.54184 Å, from a crystal structure in Alexandria, relaxed with PBE.

Cell and atoms:
```
data_In2CoMo
_chemical_formula_sum 'In4 Co2 Mo2'
_space_group_name_H-M_alt 'C 1 m 1'
_space_group_IT_number 8
_cell_length_a 10.5124
_cell_length_b 2.9597
_cell_length_c 4.8500
_cell_angle_alpha 90.00
_cell_angle_beta 111.39
_cell_angle_gamma 90.00
loop_
_space_group_symop_operation_xyz
'x,y,z'
'x,-y,z'
'x+1/2,y+1/2,z'
'x+1/2,-y+1/2,z'
loop_
_atom_site_label
_atom_site_type_symbol
_atom_site_fract_x
_atom_site_fract_y
_atom_site_fract_z
_atom_site_occupancy
In1 In 0.0000 0.0000 0.0000 1
In2 In 0.2135 0.0000 0.6325 1
Co1 Co 0.2527 0.5000 0.1477 1
Mo1 Mo 0.4506 0.0000 0.4659 1
```

Principal peaks in the range 5° ≤ 2θ ≤ 70°, by intensity:
| (hkl) | 2theta | I (rel.) |
| --- | --- | --- |
| 1 1 1 | 39.28 | 100.0 |
| 3 1 -1 | 41.13 | 84.3 |
| 4 0 0 | 36.73 | 50.5 |
| 2 0 -2 | 37.28 | 44.9 |
| 6 0 -2 | 56.31 | 23.2 |
| 4 0 -1 | 34.75 | 20.7 |
| 0 0 2 | 39.93 | 17.7 |
| 2 0 2 | 50.30 | 15.0 |



Entry 8:
Theoretical powder diffraction line list of CuHgH2F8 for Cu Kα, 1.54184 Å, from a crystal structure in Alexandria, relaxed with PBE.

Cell and atoms:
```
data_CuHgH2F8
_chemical_formula_sum 'Cu1 Hg1 H2 F8'
_space_group_name_H-M_alt 'P -1'
_space_group_IT_number 2
_cell_length_a 3.4737
_cell_length_b 5.2571
_cell_length_c 9.4431
_cell_angle_alpha 100.72
_cell_angle_beta 95.57
_cell_angle_gamma 109.26
loop_
_space_group_symop_operation_xyz
'x,y,z'
'-x,-y,-z'
loop_
_atom_site_label
_atom_site_type_symbol
_atom_site_fract_x
_atom_site_fract_y
_atom_site_fract_z
_atom_site_occupancy
Cu1 Cu 0.0000 0.0000 0.0000 1
Hg1 Hg 0.5000 0.5000 0.5000 1
H1 H 0.2777 0.2452 0.7708 1
F1 F 0.0253 0.9821 0.1887 1
F2 F 0.1489 0.7712 0.5381 1
F3 F 0.2383 0.7478 0.9676 1
F4 F 0.4869 0.4000 0.7433 1
```

Principal peaks in the range 5° ≤ 2θ ≤ 70°, by intensity:
| (hkl) | 2theta | I (rel.) |
| --- | --- | --- |
| 0 1 -1 | 18.69 | 100.0 |
| 0 0 2 | 19.42 | 94.2 |
| 0 1 1 | 22.74 | 78.4 |
| 0 0 1 | 9.67 | 72.6 |
| 0 1 -3 | 30.87 | 72.3 |
| 1 -1 0 | 27.21 | 44.7 |
| 1 0 -1 | 27.66 | 40.4 |
| 1 1 0 | 38.66 | 38.5 |



Entry 9:
Theoretical powder diffraction line list of PaTaCrTc for Cu Kα, 1.54184 Å, from a crystal structure in Alexandria, relaxed with PBE.

Cell and atoms:
```
data_PaTaCrTc
_chemical_formula_sum 'Pa4 Ta4 Cr4 Tc4'
_space_group_name_H-M_alt 'F -4 3 m'
_space_group_IT_number 216
_space_group_name_Hall 'F -4 2 3'
_cell_length_a 6.5367
_cell_length_b 6.5367
_cell_length_c 6.5367
_cell_angle_alpha 90.00
_cell_angle_beta 90.00
_cell_angle_gamma 90.00
loop_
_atom_site_label
_atom_site_type_symbol
_atom_site_fract_x
_atom_site_fract_y
_atom_site_fract_z
_atom_site_occupancy
Pa1 Pa 0.0000 0.0000 0.0000 1
Ta1 Ta 0.0000 0.0000 0.5000 1
Cr1 Cr 0.2500 0.2500 0.7500 1
Tc1 Tc 0.2500 0.2500 0.2500 1
```

Principal peaks in the range 5° ≤ 2θ ≤ 70°, by intensity:
| (hkl) | 2theta | I (rel.) |
| --- | --- | --- |
| 2 2 0 | 38.97 | 100.0 |
| 2 0 0 | 27.29 | 24.7 |
| 4 0 0 | 56.30 | 17.1 |
| 4 2 0 | 63.66 | 10.5 |
| 2 2 2 | 48.23 | 7.6 |
| 1 1 1 | 23.57 | 3.4 |
| 3 1 1 | 46.05 | 1.9 |
| 3 3 1 | 61.87 | 0.8 |



Entry 10:
Theoretical powder diffraction line list of TlIn4Hg9 for Cu Kα, 1.54184 Å, from a crystal structure in Alexandria, relaxed with PBE.

Cell and atoms:
```
data_TlIn4Hg9
_chemical_formula_sum 'Tl2 In8 Hg18'
_space_group_name_H-M_alt 'P -1'
_space_group_IT_number 2
_cell_length_a 9.0874
_cell_length_b 9.1950
_cell_length_c 10.0602
_cell_angle_alpha 89.10
_cell_angle_beta 81.33
_cell_angle_gamma 70.13
loop_
_space_group_symop_operation_xyz
'x,y,z'
'-x,-y,-z'
loop_
_atom_site_label
_atom_site_type_symbol
_atom_site_fract_x
_atom_site_fract_y
_atom_site_fract_z
_atom_site_occupancy
Tl1 Tl 0.2101 0.2940 0.2743 1
In1 In 0.0427 0.6635 0.4371 1
In2 In 0.1815 0.0463 0.8544 1
In3 In 0.2455 0.3758 0.9082 1
In4 In 0.4594 0.9096 0.2740 1
Hg1 Hg 0.0000 0.0000 0.5000 1
Hg2 Hg 0.0894 0.6287 0.1276 1
Hg3 Hg 0.1121 0.7281 0.8165 1
Hg4 Hg 0.1553 0.9464 0.1665 1
Hg5 Hg 0.2672 0.4270 0.6026 1
Hg6 Hg 0.2972 0.0666 0.5489 1
Hg7 Hg 0.3900 0.6079 0.3111 1
Hg8 Hg 0.4229 0.7259 0.6305 1
Hg9 Hg 0.4840 0.8418 0.9481 1
Hg10 Hg 0.5000 0.5000 0.0000 1
```

Principal peaks in the range 5° ≤ 2θ ≤ 70°, by intensity:
| (hkl) | 2theta | I (rel.) |
| --- | --- | --- |
| 1 0 -3 | 30.47 | 100.0 |
| 0 3 -1 | 32.02 | 67.2 |
| 3 0 1 | 31.71 | 60.6 |
| 0 1 -3 | 28.47 | 54.8 |
| 3 2 1 | 31.57 | 49.6 |
| 2 -1 3 | 35.28 | 47.7 |
| 3 -1 0 | 36.81 | 36.3 |
| 3 1 0 | 29.84 | 30.5 |



Entry 11:
Theoretical powder diffraction line list of NdSm4Zn4 for Cu Kα, 1.54184 Å, from a crystal structure in Alexandria, relaxed with PBE.

Cell and atoms:
```
data_NdSm4Zn4
_chemical_formula_sum 'Nd2 Sm8 Zn8'
_space_group_name_H-M_alt 'I 4/m'
_space_group_IT_number 87
_space_group_name_Hall '-I 4'
_cell_length_a 9.6763
_cell_length_b 9.6763
_cell_length_c 5.1785
_cell_angle_alpha 90.00
_cell_angle_beta 90.00
_cell_angle_gamma 90.00
loop_
_atom_site_label
_atom_site_type_symbol
_atom_site_fract_x
_atom_site_fract_y
_atom_site_fract_z
_atom_site_occupancy
Nd1 Nd 0.0000 0.0000 0.0000 1
Sm1 Sm 0.1104 0.3455 0.0000 1
Zn1 Zn 0.0754 0.1784 0.5000 1
```

Principal peaks in the range 5° ≤ 2θ ≤ 70°, by intensity:
| (hkl) | 2theta | I (rel.) |
| --- | --- | --- |
| 1 2 1 | 26.85 | 100.0 |
| 3 2 1 | 37.75 | 92.3 |
| 1 3 0 | 29.18 | 60.9 |
| 0 0 2 | 34.64 | 48.6 |
| 3 0 1 | 32.71 | 35.7 |
| 1 3 2 | 45.91 | 35.2 |
| 3 2 3 | 64.17 | 29.3 |
| 6 1 1 | 60.91 | 23.2 |